Diffraction record for AlCuP2. The powder diffraction line list is simulated, not measured: it uses DFT lattice parameters and positions (PBE) and Cu Kα, 1.54184 Å.

Crystal structure
```
AlCuP2
1.0
7.0779 0.0000 0.0000
0.0000 3.6554 0.0000
-1.3688 0.0000 4.9810
Al Cu P
2 2 4
Direct
0.0000 0.0000 0.0000
0.5000 0.5000 0.0000
0.3500 0.5000 0.5158
0.8500 0.0000 0.5158
0.0696 0.5000 0.6596
0.3505 0.0000 0.2088
0.5696 0.0000 0.6596
0.8505 0.5000 0.2088
```

Principal peaks in the range 10° ≤ 2θ ≤ 90°, sorted by position:
Position (°2θ)  d/Å  intensity
17.81  4.981  79
26.11  3.412  70
27.49  3.244  54
27.68  3.222  52
31.11  2.875  97
35.01  2.563  82
43.03  2.102  58
46.44  1.955  100
48.94  1.861  87
54.70  1.678  66


Diffraction record for AlCuP. The powder diffraction line list is simulated, not measured: it uses DFT lattice parameters and positions (PBE) and Cu Kα, 1.54184 Å.

Crystal structure
```
AlCuP
1.0
6.2227 0.0000 0.0000
0.0000 4.3393 0.0000
-3.5566 0.0000 7.0992
Al Cu P
4 4 4
Direct
0.1229 0.2348 0.4629
0.1229 0.2652 0.9629
0.8771 0.7348 0.0371
0.8771 0.7652 0.5371
0.4220 0.0169 0.8188
0.4220 0.4831 0.3188
0.5780 0.5169 0.6812
0.5780 0.9831 0.1812
0.2481 0.5306 0.7563
0.2481 0.9694 0.2563
0.7519 0.0306 0.7437
0.7519 0.4694 0.2437
```

Principal peaks in the range 10° ≤ 2θ ≤ 90°, sorted by position:
Position (°2θ)  d/Å  intensity
15.93  5.564  63
25.09  3.550  37
35.56  2.524  100
42.88  2.109  19
43.57  2.077  28
44.84  2.021  34
46.79  1.942  31
49.22  1.851  39
49.57  1.839  34
52.75  1.735  19


Diffraction record for AlCuSiP. The powder diffraction line list is simulated, not measured: it uses DFT lattice parameters and positions (PBE) and Cu Kα, 1.54184 Å.

Crystal structure
```
AlCuSiP
1.0
3.8498 0.0000 0.0000
-1.9249 3.3341 0.0000
0.0000 0.0000 15.0794
Al Cu Si P
3 3 3 3
Direct
0.0000 0.0000 0.0000
0.3333 0.6667 0.6667
0.6667 0.3333 0.3333
0.0000 0.0000 0.8365
0.3333 0.6667 0.5031
0.6667 0.3333 0.1698
0.0000 0.0000 0.5672
0.3333 0.6667 0.2338
0.6667 0.3333 0.9005
0.0000 0.0000 0.4137
0.3333 0.6667 0.0803
0.6667 0.3333 0.7470
```

Principal peaks in the range 10° ≤ 2θ ≤ 90°, sorted by position:
Position (°2θ)  d/Å  intensity
17.64  5.026  43
27.40  3.255  60
29.29  3.049  88
35.96  2.497  44
40.32  2.237  82
47.22  1.925  100
50.44  1.809  71
63.79  1.459  20
71.57  1.318  24
83.06  1.163  18


Diffraction record for PaAl8Cu4. The powder diffraction line list is simulated, not measured: it uses DFT lattice parameters and positions (PBE) and Cu Kα, 1.54184 Å.

Crystal structure
```
PaAl8Cu4
1.0
-4.4393 4.4393 2.5476
4.4393 -4.4393 2.5476
4.4393 4.4393 -2.5476
Pa Al Cu
1 8 4
Direct
0.0000 0.0000 0.0000
0.0000 0.3474 0.3474
0.0000 0.6526 0.6526
0.2822 0.5000 0.7822
0.3474 0.0000 0.3474
0.5000 0.2822 0.7822
0.5000 0.7178 0.2178
0.6526 0.0000 0.6526
0.7178 0.5000 0.2178
0.0000 0.0000 0.5000
0.0000 0.5000 0.0000
0.5000 0.0000 0.0000
0.5000 0.5000 0.5000
```

Principal peaks in the range 10° ≤ 2θ ≤ 90°, sorted by position:
Position (°2θ)  d/Å  intensity
14.11  6.278  51
20.09  4.419  47
28.47  3.135  99
31.87  2.808  24
35.06  2.559  35
40.67  2.218  100
40.84  2.210  70
58.98  1.566  29
66.63  1.404  19
74.05  1.280  28


Diffraction record for Pa2Al3Cu4. The powder diffraction line list is simulated, not measured: it uses DFT lattice parameters and positions (PBE) and Cu Kα, 1.54184 Å.

Crystal structure
```
Pa2Al3Cu4
1.0
2.8051 -7.4891 0.0000
2.8051 7.4891 0.0000
0.0000 0.0000 7.2423
Pa Al Cu
4 6 8
Direct
0.0920 0.9080 0.8992
0.4080 0.5920 0.3992
0.5920 0.4080 0.6008
0.9080 0.0920 0.1008
0.0000 0.0000 0.5000
0.0108 0.4892 0.7500
0.4892 0.0108 0.2500
0.5000 0.5000 0.0000
0.5108 0.9892 0.7500
0.9892 0.5108 0.2500
0.1711 0.8289 0.5069
0.1776 0.3224 0.7500
0.3224 0.1776 0.2500
0.3289 0.6711 0.0069
0.6711 0.3289 0.9931
0.6776 0.8224 0.7500
0.8224 0.6776 0.2500
0.8289 0.1711 0.4931
```

Principal peaks in the range 10° ≤ 2θ ≤ 90°, sorted by position:
Position (°2θ)  d/Å  intensity
11.82  7.489  42
20.89  4.253  79
23.76  3.745  33
29.97  2.982  38
34.52  2.598  100
36.18  2.482  100
36.38  2.469  61
39.21  2.298  51
40.69  2.218  40
72.80  1.299  31


Diffraction record for Pa3AlCu4. The powder diffraction line list is simulated, not measured: it uses DFT lattice parameters and positions (PBE) and Cu Kα, 1.54184 Å.

Crystal structure
```
Pa3AlCu4
1.0
14.9020 0.0000 0.0000
0.0000 4.2535 0.0000
-0.6827 0.0000 4.7203
Pa Al Cu
6 2 8
Direct
0.0000 0.0000 0.0000
0.1482 0.0000 0.5930
0.3518 0.5000 0.4070
0.5000 0.5000 0.0000
0.6482 0.5000 0.5930
0.8518 0.0000 0.4070
0.0000 0.5000 0.5000
0.5000 0.0000 0.5000
0.1309 0.5000 0.1180
0.2343 0.0000 0.1394
0.2657 0.5000 0.8606
0.3691 0.0000 0.8820
0.6309 0.0000 0.1180
0.7343 0.5000 0.1394
0.7657 0.0000 0.8606
0.8691 0.5000 0.8820
```

Principal peaks in the range 10° ≤ 2θ ≤ 90°, sorted by position:
Position (°2θ)  d/Å  intensity
21.75  4.087  59
23.79  3.740  18
28.51  3.131  35
32.17  2.782  26
35.20  2.549  100
38.34  2.347  30
39.76  2.267  55
42.50  2.127  37
43.51  2.080  30
58.57  1.576  23


Diffraction record for Pa2Al12Cu7. The powder diffraction line list is simulated, not measured: it uses DFT lattice parameters and positions (PBE) and Cu Kα, 1.54184 Å.

Crystal structure
```
Pa2Al12Cu7
1.0
9.9565 0.0000 0.0000
-4.9782 8.6226 0.0000
0.0000 0.0000 3.9192
Pa Al Cu
2 12 7
Direct
0.0000 0.0000 0.0000
0.3333 0.6667 0.5000
0.0465 0.2835 0.5000
0.1044 0.7169 0.0000
0.2369 0.9535 0.5000
0.2831 0.3875 0.0000
0.3838 0.1769 0.0000
0.5328 0.4292 0.5000
0.5708 0.1036 0.5000
0.6125 0.8956 0.0000
0.7165 0.7631 0.5000
0.7932 0.6162 0.0000
0.8231 0.2068 0.0000
0.8964 0.4672 0.5000
0.0760 0.4551 0.0000
0.2495 0.2156 0.5000
0.3791 0.9240 0.0000
0.5449 0.6209 0.0000
0.6667 0.3333 0.0000
0.7844 0.0339 0.5000
0.9661 0.7505 0.5000
```

Principal peaks in the range 10° ≤ 2θ ≤ 90°, sorted by position:
Position (°2θ)  d/Å  intensity
10.26  8.623  36
17.82  4.978  38
24.96  3.568  18
30.83  2.900  49
31.12  2.874  27
35.84  2.506  100
44.37  2.041  19
48.37  1.882  34
51.77  1.766  25
69.22  1.357  23


Diffraction record for TbPaAlCu. The powder diffraction line list is simulated, not measured: it uses DFT lattice parameters and positions (PBE) and Cu Kα, 1.54184 Å.

Crystal structure
```
TbPaAlCu
1.0
7.0721 0.0000 0.0000
0.0000 7.0721 0.0000
0.0000 0.0000 7.0721
Tb Pa Al Cu
4 4 4 4
Direct
0.0000 0.0000 0.0000
0.0000 0.5000 0.5000
0.5000 0.0000 0.5000
0.5000 0.5000 0.0000
0.0000 0.0000 0.5000
0.0000 0.5000 0.0000
0.5000 0.0000 0.0000
0.5000 0.5000 0.5000
0.2500 0.2500 0.7500
0.2500 0.7500 0.2500
0.7500 0.2500 0.2500
0.7500 0.7500 0.7500
0.2500 0.2500 0.2500
0.2500 0.7500 0.7500
0.7500 0.2500 0.7500
0.7500 0.7500 0.2500
```

Principal peaks in the range 10° ≤ 2θ ≤ 90°, sorted by position:
Position (°2θ)  d/Å  intensity
21.77  4.083  6
25.19  3.536  44
35.92  2.500  100
44.37  2.042  13
51.70  1.768  18
58.35  1.581  19
64.56  1.444  36
76.14  1.250  11
81.70  1.179  9
87.17  1.118  16


Diffraction record for AlCu5Pd4. The powder diffraction line list is simulated, not measured: it uses DFT lattice parameters and positions (PBE) and Cu Kα, 1.54184 Å.

Crystal structure
```
AlCu5Pd4
1.0
4.4212 0.0000 0.0000
0.8772 5.2264 0.0000
1.7383 1.2557 5.8600
Al Cu Pd
1 5 4
Direct
0.0000 0.0000 0.0000
0.0000 0.5000 0.0000
0.2137 0.7865 0.6025
0.4103 0.5889 0.1974
0.5897 0.4111 0.8026
0.7863 0.2135 0.3975
0.1842 0.2919 0.6137
0.3824 0.0992 0.1993
0.6176 0.9008 0.8007
0.8158 0.7081 0.3863
```

Principal peaks in the range 10° ≤ 2θ ≤ 90°, sorted by position:
Position (°2θ)  d/Å  intensity
31.88  2.807  13
41.40  2.181  100
41.68  2.167  98
45.33  2.000  38
46.09  1.970  36
53.31  1.718  23
66.64  1.403  22
73.08  1.295  17
80.82  1.189  13
82.11  1.174  12


Diffraction record for AlCu4Pd7. The powder diffraction line list is simulated, not measured: it uses DFT lattice parameters and positions (PBE) and Cu Kα, 1.54184 Å.

Crystal structure
```
AlCu4Pd7
1.0
4.7565 0.0000 0.0000
0.3169 5.4167 0.0000
2.2591 1.8534 6.6323
Al Cu Pd
1 4 7
Direct
0.0000 0.0000 0.0000
0.1676 0.4182 0.3355
0.3465 0.8269 0.6575
0.6535 0.1731 0.3425
0.8324 0.5818 0.6645
0.0000 0.5000 0.0000
0.1560 0.9248 0.3335
0.3252 0.3260 0.6694
0.4778 0.7518 0.9974
0.5222 0.2482 0.0026
0.6748 0.6740 0.3306
0.8440 0.0752 0.6665
```

Principal peaks in the range 10° ≤ 2θ ≤ 90°, sorted by position:
Position (°2θ)  d/Å  intensity
40.44  2.231  52
40.67  2.218  54
40.82  2.211  100
45.40  1.998  37
46.28  1.962  34
50.22  1.817  27
66.68  1.403  11
66.99  1.397  11
82.01  1.175  12
88.03  1.109  11


Diffraction record for AlCu2Pd8. The powder diffraction line list is simulated, not measured: it uses DFT lattice parameters and positions (PBE) and Cu Kα, 1.54184 Å.

Crystal structure
```
AlCu2Pd8
1.0
-2.0658 3.5254 5.6980
2.0658 -3.5254 5.6980
2.0658 3.5254 -5.6980
Al Cu Pd
1 2 8
Direct
0.0000 0.0000 0.0000
0.2998 0.2998 0.0000
0.7002 0.7002 0.0000
0.1253 0.8442 0.2811
0.1400 0.6400 0.5000
0.3120 0.5000 0.8120
0.4369 0.1558 0.2811
0.5631 0.8442 0.7189
0.6880 0.5000 0.1880
0.8600 0.3600 0.5000
0.8747 0.1558 0.7189
```

Principal peaks in the range 10° ≤ 2θ ≤ 90°, sorted by position:
Position (°2θ)  d/Å  intensity
32.01  2.796  13
34.35  2.610  11
39.13  2.302  16
40.53  2.226  23
41.21  2.191  100
43.82  2.066  29
47.89  1.899  13
66.92  1.398  11
78.74  1.215  14
79.27  1.209  10


Diffraction record for AlCu7Pd12. The powder diffraction line list is simulated, not measured: it uses DFT lattice parameters and positions (PBE) and Cu Kα, 1.54184 Å.

Crystal structure
```
AlCu7Pd12
1.0
5.4748 3.1609 2.7783
-5.4748 3.1609 2.7783
0.0000 -6.3218 2.7783
Al Cu Pd
1 7 12
Direct
0.0000 0.0000 0.0000
0.0491 0.1200 0.6822
0.1200 0.6822 0.0491
0.3178 0.9509 0.8800
0.5000 0.5000 0.5000
0.6822 0.0491 0.1200
0.8800 0.3178 0.9509
0.9509 0.8800 0.3178
0.0706 0.2884 0.3545
0.2308 0.7244 0.4494
0.2756 0.5506 0.7692
0.2884 0.3545 0.0706
0.3545 0.0706 0.2884
0.4494 0.2308 0.7244
0.5506 0.7692 0.2756
0.6454 0.9294 0.7116
0.7116 0.6454 0.9294
0.7244 0.4494 0.2308
0.7692 0.2756 0.5506
0.9294 0.7116 0.6454
```

Principal peaks in the range 10° ≤ 2θ ≤ 90°, sorted by position:
Position (°2θ)  d/Å  intensity
36.26  2.478  31
39.52  2.280  100
40.56  2.224  54
42.97  2.105  28
43.36  2.087  44
43.75  2.069  31
43.94  2.061  53
44.52  2.035  33
46.58  1.950  21
71.27  1.323  14


Diffraction record for Al2Cu3Pd8. The powder diffraction line list is simulated, not measured: it uses DFT lattice parameters and positions (PBE) and Cu Kα, 1.54184 Å.

Crystal structure
```
Al2Cu3Pd8
1.0
7.2490 0.0000 0.0000
0.0000 4.1302 0.0000
-2.5701 0.0000 6.8236
Al Cu Pd
2 3 8
Direct
0.2481 0.0000 0.2535
0.7519 0.0000 0.7465
0.2575 0.5000 0.7577
0.5000 0.0000 0.0000
0.7425 0.5000 0.2423
0.1167 0.0000 0.8772
0.1233 0.5000 0.3778
0.3627 0.5000 0.1358
0.3759 0.0000 0.6170
0.6241 0.0000 0.3830
0.6373 0.5000 0.8642
0.8767 0.5000 0.6222
0.8833 0.0000 0.1228
```

Principal peaks in the range 10° ≤ 2θ ≤ 90°, sorted by position:
Position (°2θ)  d/Å  intensity
29.89  2.989  39
30.59  2.923  77
43.19  2.094  100
43.39  2.085  98
43.80  2.067  98
62.10  1.495  15
63.68  1.461  31
79.88  1.201  15
80.12  1.198  15
80.28  1.196  31